# 1
Diffraction record for TbFe2GeN. The PXRD pattern is computed, not measured: it uses a cell relaxed with PBE and a wavelength of 1.5418 Å.

Most intense lines, 2θ = 10–90°, low angle first:
| 2θ/deg | I (rel.) |
| --- | --- |
| 25.92 | 20 |
| 34.94 | 34 |
| 36.23 | 49 |
| 36.56 | 100 |
| 37.39 | 77 |
| 43.00 | 35 |
| 48.91 | 29 |
| 53.60 | 23 |
| 62.36 | 20 |
| 67.13 | 18 |

Structural model:
```
TbFe2GeN
1.0
1.8623 -5.3170 0.0000
1.8623 5.3170 0.0000
0.0000 0.0000 6.8746
Tb Fe Ge N
2 4 2 2
Direct
0.0485 0.9515 0.7500 Tb
0.9515 0.0485 0.2500 Tb
0.3400 0.6600 0.5569 Fe
0.3400 0.6600 0.9431 Fe
0.6600 0.3400 0.0569 Fe
0.6600 0.3400 0.4431 Fe
0.2301 0.7699 0.2500 Ge
0.7699 0.2301 0.7500 Ge
0.5000 0.5000 0.0000 N
0.5000 0.5000 0.5000 N
```

---

# 2
Diffraction record for Pr2Ga3Co. The PXRD pattern is computed, not measured: it uses a cell relaxed with PBE and a wavelength of 1.5418 Å.

Most intense lines, 2θ = 10–90°, low angle first:
| 2θ/deg | I (rel.) |
| --- | --- |
| 32.69 | 29 |
| 32.85 | 26 |
| 32.98 | 59 |
| 33.44 | 31 |
| 33.80 | 100 |
| 34.09 | 53 |
| 38.71 | 26 |
| 39.69 | 62 |
| 41.73 | 50 |
| 64.40 | 26 |

Structural model:
```
Pr2Ga3Co
1.0
10.7606 0.0000 0.0000
0.0000 4.3292 0.0000
-4.9025 0.0000 5.4534
Pr Ga Co
4 6 2
Direct
0.0000 0.0000 0.0000 Pr
0.1082 0.0000 0.6034 Pr
0.5000 0.5000 0.0000 Pr
0.6082 0.5000 0.6034 Pr
0.1968 0.5000 0.9883 Ga
0.2421 0.5000 0.4208 Ga
0.3766 0.0000 0.2145 Ga
0.6968 0.0000 0.9883 Ga
0.7421 0.0000 0.4208 Ga
0.8766 0.5000 0.2145 Ga
0.3956 0.0000 0.5970 Co
0.8956 0.5000 0.5970 Co
```

---

# 3
Diffraction record for Li2NbP2O8. The PXRD pattern is computed, not measured: it uses a cell relaxed with PBE and a wavelength of 1.5418 Å.

Most intense lines, 2θ = 10–90°, low angle first:
| 2θ/deg | I (rel.) |
| --- | --- |
| 14.75 | 48 |
| 17.55 | 19 |
| 19.86 | 100 |
| 23.00 | 54 |
| 24.83 | 29 |
| 25.10 | 25 |
| 29.24 | 27 |
| 29.76 | 40 |
| 35.47 | 55 |
| 36.04 | 28 |

Structural model:
```
Li2NbP2O8
1.0
6.0045 0.0000 0.0000
0.0000 4.9834 0.0000
-0.0030 0.0000 10.1064
Li Nb P O
4 2 4 16
Direct
0.0000 0.1895 0.0000 Li
0.0000 0.8105 0.5000 Li
0.0027 0.2316 0.3226 Li
0.0027 0.7684 0.8226 Li
0.5002 0.3245 0.7838 Nb
0.5002 0.6755 0.2838 Nb
0.0001 0.3207 0.6470 P
0.0001 0.6793 0.1470 P
0.4999 0.0973 0.4726 P
0.4999 0.9027 0.9726 P
0.0001 0.0196 0.6655 O
0.0003 0.4173 0.5047 O
0.0003 0.5827 0.0047 O
0.0001 0.9804 0.1655 O
0.2030 0.4598 0.7241 O
0.2030 0.5402 0.2241 O
0.2977 0.0534 0.9068 O
0.2977 0.9466 0.4068 O
0.4997 0.0581 0.6239 O
0.5001 0.3981 0.4391 O
0.5001 0.6019 0.9391 O
0.4997 0.9419 0.1239 O
0.7018 0.0541 0.9071 O
0.7018 0.9459 0.4071 O
0.7971 0.4597 0.7239 O
0.7971 0.5403 0.2239 O
```